For HfZnSnF, a GGA-PBE-relaxed structure gives the calculated powder XRD pattern in this record (a wavelength of 1.5418 Å).
Neutral-atom scattering factors, no anomalous dispersion.

Largest 8 diffraction maxima, by angle, 2θ from 10° to 90°:
- hkl 0 0 2, 17.58°, I = 100
- hkl 1 0 0, 33.50°, I = 41
- hkl 0 0 4, 35.59°, I = 40
- hkl 1 1 2, 36.72°, I = 32
- hkl 1 0 -2, 36.97°, I = 35
- hkl 1 0 2, 39.12°, I = 27
- hkl 1 1 -2, 39.44°, I = 26
- hkl 2 1 0, 59.72°, I = 35

Atomic structure:
Lattice parameters (Å, degrees): 3.0975 3.0975 10.2013 82.38 89.42 60.00
Element x y z (fractional)
Hf 0.0000 0.0000 0.0000
Zn 0.6113 0.7925 0.7756
Sn 0.8824 0.2660 0.5246
F 0.3680 0.2545 0.1408